(1)
The following is a computed X-ray powder pattern of BaAlSi4N5O3. It was derived from a GGA-PBE-relaxed structure, using Cu Ka.
No peak broadening, texture or thermal motion is included.

Most intense lines, 10 to 80 degrees two-theta, sorted by position:
15.88°, rel. 41, hkl 0 2 1; 24.88°, rel. 57, hkl 1 3 0; 25.36°, rel. 99, hkl 1 1 2; 31.36°, rel. 100, hkl 1 3 2; 36.96°, rel. 63, hkl 2 0 2; 40.31°, rel. 36, hkl 0 2 4

Structure:
```
data_BaAlSi4N5O3
_chemical_formula_sum 'Ba4 Al4 Si16 N20 O12'
_symmetry_space_group_name_H-M 'C m c 21'
_symmetry_Int_Tables_number 36
_cell_length_a 5.6741
_cell_length_b 13.8378
_cell_length_c 9.4475
_cell_angle_alpha 90.00
_cell_angle_beta 90.00
_cell_angle_gamma 90.00
loop_
_symmetry_equiv_pos_as_xyz
'x,y,z'
'-x,-y,z+1/2'
'-x,y,z'
'x,-y,z+1/2'
'x+1/2,y+1/2,z'
'-x+1/2,-y+1/2,z+1/2'
'-x+1/2,y+1/2,z'
'x+1/2,-y+1/2,z+1/2'
loop_
_atom_site_label
_atom_site_fract_x
_atom_site_fract_y
_atom_site_fract_z
Ba1 0.0000 0.0289 0.0000
Al1 0.0000 0.4715 0.2721
Si1 0.0000 0.2890 0.0614
Si2 0.0000 0.2980 0.5028
Si3 0.2486 0.3278 0.7830
N1 0.0000 0.2004 0.3787
N2 0.0000 0.2906 0.8756
N3 0.0000 0.4078 0.4354
N4 0.2485 0.2233 0.1140
O1 0.0000 0.3998 0.1177
O2 0.2474 0.4468 0.7630
```

***

(2)
The following is a computed X-ray powder pattern of BaAlSi5N7O2. It was derived from a GGA-PBE-relaxed structure, using Cu Ka.
No peak broadening, texture or thermal motion is included.

Most intense lines, 10 to 80 degrees two-theta, sorted by position:
27.97°, rel. 30, hkl 1 2 1; 29.34°, rel. 100, hkl 0 1 2; 29.57°, rel. 99, hkl 0 2 1; 29.66°, rel. 97, hkl 1 -1 1; 36.42°, rel. 36, hkl 2 1 1; 41.82°, rel. 22, hkl 1 3 0

Structure:
```
data_BaAlSi5N7O2
_chemical_formula_sum 'Ba1 Al1 Si5 N7 O2'
_symmetry_space_group_name_H-M 'P 1'
_symmetry_Int_Tables_number 1
_cell_length_a 4.9345
_cell_length_b 6.8357
_cell_length_c 6.8730
_cell_angle_alpha 74.55
_cell_angle_beta 69.67
_cell_angle_gamma 69.04
loop_
_symmetry_equiv_pos_as_xyz
'x,y,z'
loop_
_atom_site_label
_atom_site_fract_x
_atom_site_fract_y
_atom_site_fract_z
Ba1 0.0000 0.0000 0.0000
Al1 0.6227 0.5034 0.1577
Si1 0.1235 0.3059 0.3437
Si2 0.2878 0.8301 0.4877
Si3 0.3047 0.4372 0.8643
Si4 0.6168 0.1154 0.5451
Si5 0.7920 0.6299 0.6690
N1 0.0158 0.0729 0.4599
N2 0.0400 0.4167 0.1082
N3 0.1140 0.6580 0.6949
N4 0.4397 0.1979 0.7811
N5 0.4900 0.2722 0.3291
N6 0.5709 0.8667 0.5598
N7 0.5722 0.5275 0.8978
O1 0.4168 0.7476 0.2575
O2 0.8750 0.4733 0.4999
```

***

(3)
The following is a computed X-ray powder pattern of Ba2NdAl2O7. It was derived from a GGA-PBE-relaxed structure, using Cu Ka.
No peak broadening, texture or thermal motion is included.

Most intense lines, 10 to 80 degrees two-theta, sorted by position:
23.20°, rel. 48, hkl 1 0 1; 31.34°, rel. 100, hkl 1 0 5; 32.47°, rel. 67, hkl 1 1 0; 41.75°, rel. 61, hkl 1 1 6; 46.58°, rel. 39, hkl 2 0 0; 57.22°, rel. 37, hkl 2 1 5

Structure:
```
data_Ba2NdAl2O7
_chemical_formula_sum 'Ba4 Nd2 Al4 O14'
_symmetry_space_group_name_H-M 'I 4/m m m'
_symmetry_Int_Tables_number 139
_symmetry_space_group_name_Hall '-I 4 2'
_cell_length_a 3.8997
_cell_length_b 3.8997
_cell_length_c 20.9376
_cell_angle_alpha 90.00
_cell_angle_beta 90.00
_cell_angle_gamma 90.00
loop_
_atom_site_label
_atom_site_fract_x
_atom_site_fract_y
_atom_site_fract_z
Ba1 0.0000 0.0000 0.1809
Nd1 0.0000 0.0000 0.0000
Al1 0.0000 0.0000 0.4099
O1 0.0000 0.0000 0.3182
O2 0.0000 0.0000 0.5000
O3 0.0000 0.5000 0.0838
```

***

(4)
The following is a computed X-ray powder pattern of Ba2NdAlO5. It was derived from a GGA-PBE-relaxed structure, using Cu Ka.
No peak broadening, texture or thermal motion is included.

Most intense lines, 10 to 80 degrees two-theta, sorted by position:
27.54°, rel. 46, hkl 2 0 -2; 27.89°, rel. 33, hkl 2 1 -1; 28.84°, rel. 72, hkl 0 2 0; 30.09°, rel. 100, hkl 0 1 2; 30.67°, rel. 87, hkl 2 1 0; 40.30°, rel. 50, hkl 2 2 -2

Structure:
```
data_Ba2NdAlO5
_chemical_formula_sum 'Ba4 Nd2 Al2 O10'
_symmetry_space_group_name_H-M 'P 1 21 1'
_symmetry_Int_Tables_number 4
_cell_length_a 7.4757
_cell_length_b 6.1906
_cell_length_c 7.6567
_cell_angle_alpha 90.00
_cell_angle_beta 117.85
_cell_angle_gamma 90.00
loop_
_symmetry_equiv_pos_as_xyz
'x,y,z'
'-x,y+1/2,-z'
loop_
_atom_site_label
_atom_site_fract_x
_atom_site_fract_y
_atom_site_fract_z
Ba1 0.1383 0.0000 0.3904
Ba2 0.3083 0.5018 0.1461
Nd1 0.3971 0.4970 0.6624
Al1 0.1718 0.9833 0.8346
O1 0.0901 0.5202 0.3413
O2 0.2310 0.7123 0.7963
O3 0.2359 0.0194 0.0891
O4 0.3096 0.1708 0.7644
O5 0.4951 0.7659 0.5128
```

***

(5)
The following is a computed X-ray powder pattern of BaNd2Al3Zn6. It was derived from a GGA-PBE-relaxed structure, using Cu Ka.
No peak broadening, texture or thermal motion is included.

Most intense lines, 10 to 80 degrees two-theta, sorted by position:
24.14°, rel. 28, hkl 1 0 2; 31.91°, rel. 37, hkl 1 1 2; 35.00°, rel. 100, hkl 1 1 3; 38.02°, rel. 68, hkl 1 0 5; 41.81°, rel. 70, hkl 2 0 0; 57.79°, rel. 39, hkl 2 1 5

Structure:
```
data_BaNd2Al3Zn6
_chemical_formula_sum 'Ba1 Nd2 Al3 Zn6'
_symmetry_space_group_name_H-M 'P 4/m m m'
_symmetry_Int_Tables_number 123
_symmetry_space_group_name_Hall '-P 4 2'
_cell_length_a 4.3208
_cell_length_b 4.3208
_cell_length_c 14.1428
_cell_angle_alpha 90.00
_cell_angle_beta 90.00
_cell_angle_gamma 90.00
loop_
_atom_site_label
_atom_site_fract_x
_atom_site_fract_y
_atom_site_fract_z
Ba1 0.0000 0.0000 0.0000
Nd1 0.0000 0.0000 0.3784
Al1 0.5000 0.5000 0.1048
Al2 0.5000 0.5000 0.5000
Zn1 0.0000 0.5000 0.2072
Zn2 0.5000 0.5000 0.3133
```

***

(6)
The following is a computed X-ray powder pattern of BaAl12Ni6. It was derived from a GGA-PBE-relaxed structure, using Cu Ka.
No peak broadening, texture or thermal motion is included.

Most intense lines, 10 to 80 degrees two-theta, sorted by position:
26.68°, rel. 100, hkl 2 1 1; 32.24°, rel. 39, hkl 2 2 0; 32.43°, rel. 46, hkl 1 2 2; 35.27°, rel. 40, hkl 1 3 1; 46.81°, rel. 42, hkl 0 2 4; 52.21°, rel. 36, hkl 5 0 2

Structure:
```
data_BaAl12Ni6
_chemical_formula_sum 'Ba3 Al36 Ni18'
_symmetry_space_group_name_H-M 'R -3 m'
_symmetry_Int_Tables_number 166
_symmetry_space_group_name_Hall '-R 3 2"'
_cell_length_a 11.1071
_cell_length_b 11.1071
_cell_length_c 8.4852
_cell_angle_alpha 90.00
_cell_angle_beta 90.00
_cell_angle_gamma 120.00
loop_
_atom_site_label
_atom_site_fract_x
_atom_site_fract_y
_atom_site_fract_z
Ba1 0.0000 0.0000 0.0000
Al1 0.0000 0.3773 0.5000
Al2 0.0893 0.1786 0.3416
Ni1 0.0519 0.5260 0.2643
```